Entry 1:
This entry pairs a crystal structure of CeSm4Y10 with its calculated X-ray powder pattern. Radiation: a wavelength of 1.5418 Å. Structure: a cell relaxed with GGA-PBE.
Peak positions follow from Bragg's law for the DFT cell and can differ from measured ones.

Structural model:
a = 11.277 Å, b = 11.277 Å, c = 7.991 Å
α = 90.00°, β = 90.00°, γ = 90.00°
Space group I4/mmm (No. 139)
Symmetry-distinct sites (fractional):
Ce  0.000  0.000  0.000 x2
Sm  0.227  0.227  0.000 x8
Y  0.000  0.207  0.293 x16
Y  0.000  0.500  0.250 x4

Main lines, in order of rising 2θ (10° ≤ 2θ ≤ 80°):
| two_theta | I/Imax |
| --- | --- |
| 27.4 | 32 |
| 30.7 | 31 |
| 31.7 | 100 |
| 33.7 | 20 |
| 34.6 | 14 |
| 40.8 | 24 |
| 45.5 | 18 |
| 53.2 | 16 |
| 56.5 | 17 |
| 67.4 | 12 |

Entry 2:
This entry pairs a crystal structure of CeSm12Y2 with its calculated X-ray powder pattern. Radiation: a wavelength of 1.5418 Å. Structure: a cell relaxed with GGA-PBE.
Peak positions follow from Bragg's law for the DFT cell and can differ from measured ones.

Structural model:
a = 7.126 Å, b = 11.525 Å, c = 24.830 Å
α = 90.00°, β = 90.00°, γ = 90.00°
Space group Cmme (No. 67)
Symmetry-distinct sites (fractional):
Ce  0.000  0.250  0.001 x4
Sm  0.000  0.003  0.926 x8
Sm  0.000  0.022  0.440 x8
Sm  0.233  0.250  0.586 x8
Sm  0.249  0.250  0.128 x8
Sm  0.250  0.000  0.199 x8
Sm  0.250  0.000  0.325 x8
Y  0.000  0.250  0.270 x4
Y  0.000  0.250  0.734 x4

Main lines, in order of rising 2θ (10° ≤ 2θ ≤ 80°):
| two_theta | I/Imax |
| --- | --- |
| 26.0 | 31 |
| 28.9 | 28 |
| 29.6 | 64 |
| 30.4 | 93 |
| 31.0 | 100 |
| 32.8 | 87 |
| 32.9 | 54 |
| 36.8 | 73 |
| 56.4 | 28 |
| 61.2 | 28 |

What did the second record say?
This entry pairs a crystal structure of CeSm12Y2 with its calculated X-ray powder pattern. Radiation: a wavelength of 1.5418 Å. Structure: a cell relaxed with GGA-PBE.
Peak positions follow from Bragg's law for the DFT cell and can differ from measured ones.

Structural model:
a = 7.126 Å, b = 11.525 Å, c = 24.830 Å
α = 90.00°, β = 90.00°, γ = 90.00°
Space group Cmme (No. 67)
Symmetry-distinct sites (fractional):
Ce  0.000  0.250  0.001 x4
Sm  0.000  0.003  0.926 x8
Sm  0.000  0.022  0.440 x8
Sm  0.233  0.250  0.586 x8
Sm  0.249  0.250  0.128 x8
Sm  0.250  0.000  0.199 x8
Sm  0.250  0.000  0.325 x8
Y  0.000  0.250  0.270 x4
Y  0.000  0.250  0.734 x4

Main lines, in order of rising 2θ (10° ≤ 2θ ≤ 80°):
| two_theta | I/Imax |
| --- | --- |
| 26.0 | 31 |
| 28.9 | 28 |
| 29.6 | 64 |
| 30.4 | 93 |
| 31.0 | 100 |
| 32.8 | 87 |
| 32.9 | 54 |
| 36.8 | 73 |
| 56.4 | 28 |
| 61.2 | 28 |